1.
For NaMg6CoO8, DFT lattice parameters and positions (GGA+U) gives the calculated powder XRD pattern in this record (copper Kα).

Structure:
```
data_NaMg6CoO8
_chemical_formula_sum 'Na1 Mg6 Co1 O8'
_space_group_name_H-M_alt 'P 4/m m m'
_space_group_IT_number 123
_space_group_name_Hall '-P 4 2'
_cell_length_a 4.320
_cell_length_b 4.320
_cell_length_c 8.430
_cell_angle_alpha 90.00
_cell_angle_beta 90.00
_cell_angle_gamma 90.00
loop_
_atom_site_label
_atom_site_fract_x
_atom_site_fract_y
_atom_site_fract_z
_atom_site_occupancy
Na1 0.000 0.000 0.000 1
Mg1 0.000 0.500 0.245 1
Mg2 0.500 0.500 0.000 1
Mg3 0.500 0.500 0.500 1
Co1 0.000 0.000 0.500 1
O1 0.000 0.000 0.278 1
O2 0.000 0.500 0.000 1
O3 0.000 0.500 0.500 1
O4 0.500 0.500 0.253 1
```

Top 10 peaks for 15 to 90 degrees two-theta, by intensity:
- hkl 2 0 0, 2θ = 41.8°, I = 100
- hkl 2 0 4, 2θ = 61.5°, I = 52
- hkl 0 0 4, 2θ = 42.9°, I = 44
- hkl 2 2 0, 2θ = 60.6°, I = 28
- hkl 1 1 2, 2θ = 36.3°, I = 27
- hkl 2 2 4, 2θ = 77.1°, I = 24
- hkl 1 0 1, 2θ = 23.1°, I = 14
- hkl 3 1 2, 2θ = 72.8°, I = 10
- hkl 1 1 1, 2θ = 31.1°, I = 8
- hkl 1 0 0, 2θ = 20.6°, I = 6

=====

2.
For Na4MgCo2O6, DFT lattice parameters and positions (GGA+U) gives the calculated powder XRD pattern in this record (copper Kα).

Structure:
```
data_Na4MgCo2O6
_chemical_formula_sum 'Na8 Mg2 Co4 O12'
_space_group_name_H-M_alt 'C 1 2/m 1'
_space_group_IT_number 12
_space_group_name_Hall '-C 2y'
_cell_length_a 11.379
_cell_length_b 6.098
_cell_length_c 5.915
_cell_angle_alpha 90.00
_cell_angle_beta 96.57
_cell_angle_gamma 90.00
loop_
_atom_site_label
_atom_site_fract_x
_atom_site_fract_y
_atom_site_fract_z
_atom_site_occupancy
Na1 0.000 0.000 0.000 1
Na2 0.000 0.000 0.500 1
Na3 0.230 0.000 0.271 1
Mg1 0.000 0.500 0.500 1
Co1 0.175 0.500 0.225 1
O1 0.095 0.276 0.337 1
O2 0.190 0.000 0.879 1
```

Top 10 peaks for 15 to 90 degrees two-theta, by intensity:
- hkl 2 0 1, 2θ = 23.0°, I = 100
- hkl 0 2 0, 2θ = 29.3°, I = 34
- hkl 2 2 -2, 2θ = 44.5°, I = 28
- hkl 2 0 2, 2θ = 36.0°, I = 21
- hkl 4 2 -1, 2θ = 45.1°, I = 19
- hkl 1 1 2, 2θ = 35.6°, I = 18
- hkl 5 1 -1, 2θ = 43.8°, I = 18
- hkl 3 1 0, 2θ = 27.8°, I = 16
- hkl 2 2 2, 2θ = 47.1°, I = 15
- hkl 2 0 -1, 2θ = 20.5°, I = 14

=====

3.
For NaMg6CoO8, DFT lattice parameters and positions (GGA+U) gives the calculated powder XRD pattern in this record (copper Kα).

Structure:
```
data_NaMg6CoO8
_chemical_formula_sum 'Na1 Mg6 Co1 O8'
_space_group_name_H-M_alt 'P 4/m m m'
_space_group_IT_number 123
_space_group_name_Hall '-P 4 2'
_cell_length_a 4.261
_cell_length_b 4.261
_cell_length_c 8.591
_cell_angle_alpha 90.00
_cell_angle_beta 90.00
_cell_angle_gamma 90.00
loop_
_atom_site_label
_atom_site_fract_x
_atom_site_fract_y
_atom_site_fract_z
_atom_site_occupancy
Na1 0.000 0.000 0.000 1
Mg1 0.000 0.000 0.500 1
Mg2 0.000 0.500 0.246 1
Mg3 0.500 0.500 0.500 1
Co1 0.500 0.500 0.000 1
O1 0.000 0.000 0.264 1
O2 0.000 0.500 0.000 1
O3 0.000 0.500 0.500 1
O4 0.500 0.500 0.235 1
```

Top 10 peaks for 15 to 90 degrees two-theta, by intensity:
- hkl 2 0 0, 2θ = 42.4°, I = 100
- hkl 2 0 4, 2θ = 61.3°, I = 56
- hkl 0 0 4, 2θ = 42.1°, I = 50
- hkl 2 2 0, 2θ = 61.6°, I = 28
- hkl 1 1 2, 2θ = 36.4°, I = 28
- hkl 2 2 4, 2θ = 77.4°, I = 25
- hkl 1 0 1, 2θ = 23.3°, I = 15
- hkl 3 1 2, 2θ = 73.7°, I = 10
- hkl 1 0 0, 2θ = 20.8°, I = 7
- hkl 1 0 2, 2θ = 29.5°, I = 6

=====

4.
For Na6MgCo2O6, DFT lattice parameters and positions (GGA+U) gives the calculated powder XRD pattern in this record (copper Kα).

Structure:
```
data_Na6MgCo2O6
_chemical_formula_sum 'Na6 Mg1 Co2 O6'
_space_group_name_H-M_alt 'P -1'
_space_group_IT_number 2
_space_group_name_Hall '-P 1'
_cell_length_a 5.801
_cell_length_b 6.173
_cell_length_c 6.199
_cell_angle_alpha 111.03
_cell_angle_beta 91.92
_cell_angle_gamma 95.74
loop_
_atom_site_label
_atom_site_fract_x
_atom_site_fract_y
_atom_site_fract_z
_atom_site_occupancy
Na1 0.039 0.440 0.222 1
Na2 0.225 0.987 0.123 1
Na3 0.392 0.697 0.640 1
Mg1 0.000 0.000 0.500 1
Co1 0.372 0.310 0.814 1
O1 0.186 0.012 0.779 1
O2 0.230 0.294 0.500 1
O3 0.302 0.622 0.046 1
```

Top 10 peaks for 15 to 90 degrees two-theta, by intensity:
- hkl 1 -1 0, 2θ = 20.5°, I = 100
- hkl 1 1 -2, 2θ = 32.9°, I = 94
- hkl 1 0 -1, 2θ = 21.0°, I = 89
- hkl -2 1 1, 2θ = 38.2°, I = 78
- hkl 1 -1 3, 2θ = 47.3°, I = 74
- hkl 2 0 1, 2θ = 35.9°, I = 70
- hkl 0 1 -1, 2θ = 17.4°, I = 64
- hkl 1 2 0, 2θ = 36.7°, I = 63
- hkl 1 -2 1, 2θ = 32.1°, I = 55
- hkl 0 3 0, 2θ = 47.7°, I = 51

=====

5.
For NaMgCoO2, DFT lattice parameters and positions (GGA+U) gives the calculated powder XRD pattern in this record (copper Kα).

Structure:
```
data_NaMgCoO2
_chemical_formula_sum 'Na2 Mg2 Co2 O4'
_space_group_name_H-M_alt 'C 1 m 1'
_space_group_IT_number 8
_space_group_name_Hall 'C -2y'
_cell_length_a 5.715
_cell_length_b 3.302
_cell_length_c 7.594
_cell_angle_alpha 90.00
_cell_angle_beta 91.63
_cell_angle_gamma 90.00
loop_
_atom_site_label
_atom_site_fract_x
_atom_site_fract_y
_atom_site_fract_z
_atom_site_occupancy
Na1 0.000 0.000 0.000 1
Mg1 0.178 0.500 0.308 1
Co1 0.020 0.000 0.622 1
O1 0.185 0.500 0.569 1
O2 0.341 0.000 0.201 1
```

Top 10 peaks for 15 to 90 degrees two-theta, by intensity:
- hkl 1 1 -1, 2θ = 33.3°, I = 100
- hkl 1 1 0, 2θ = 31.3°, I = 97
- hkl 0 2 0, 2θ = 55.7°, I = 91
- hkl 0 0 2, 2θ = 23.4°, I = 88
- hkl 0 0 3, 2θ = 35.5°, I = 75
- hkl 1 1 -2, 2θ = 39.2°, I = 67
- hkl 2 0 1, 2θ = 33.8°, I = 61
- hkl 1 1 2, 2θ = 39.7°, I = 31
- hkl 1 1 -3, 2θ = 47.7°, I = 29
- hkl 1 1 3, 2θ = 48.4°, I = 27

=====

6.
For Na4MgCo2O6, DFT lattice parameters and positions (GGA+U) gives the calculated powder XRD pattern in this record (copper Kα).

Structure:
```
data_Na4MgCo2O6
_chemical_formula_sum 'Na4 Mg1 Co2 O6'
_space_group_name_H-M_alt 'P 1'
_space_group_IT_number 1
_space_group_name_Hall 'P 1'
_cell_length_a 6.052
_cell_length_b 6.111
_cell_length_c 6.406
_cell_angle_alpha 93.81
_cell_angle_beta 116.20
_cell_angle_gamma 117.62
loop_
_atom_site_label
_atom_site_fract_x
_atom_site_fract_y
_atom_site_fract_z
_atom_site_occupancy
Na1 0.000 0.000 0.000 1
Na2 0.068 0.487 0.462 1
Na3 0.499 0.336 0.514 1
Na4 0.699 0.969 0.459 1
Mg1 0.375 0.020 0.846 1
Co1 0.534 0.470 0.084 1
Co2 0.999 0.499 0.964 1
O1 0.018 0.682 0.754 1
O2 0.256 0.277 0.741 1
O3 0.333 0.523 0.226 1
O4 0.544 0.189 0.200 1
O5 0.701 0.137 0.796 1
O6 0.915 0.680 0.163 1
```

Top 10 peaks for 15 to 90 degrees two-theta, by intensity:
- hkl 0 1 0, 2θ = 17.4°, I = 100
- hkl 0 0 1, 2θ = 16.4°, I = 97
- hkl 0 2 0, 2θ = 35.3°, I = 71
- hkl 0 1 -1, 2θ = 19.5°, I = 49
- hkl 1 -1 0, 2θ = 17.6°, I = 42
- hkl -1 1 2, 2θ = 33.4°, I = 41
- hkl -2 1 2, 2θ = 34.7°, I = 37
- hkl 1 -3 1, 2θ = 45.9°, I = 34
- hkl 1 1 0, 2θ = 32.9°, I = 33
- hkl 2 -1 0, 2θ = 33.2°, I = 33

=====

7.
For Na6MgCo2O6, DFT lattice parameters and positions (GGA+U) gives the calculated powder XRD pattern in this record (copper Kα).

Structure:
```
data_Na6MgCo2O6
_chemical_formula_sum 'Na6 Mg1 Co2 O6'
_space_group_name_H-M_alt 'P -1'
_space_group_IT_number 2
_space_group_name_Hall '-P 1'
_cell_length_a 5.865
_cell_length_b 6.010
_cell_length_c 6.270
_cell_angle_alpha 90.71
_cell_angle_beta 114.33
_cell_angle_gamma 95.68
loop_
_atom_site_label
_atom_site_fract_x
_atom_site_fract_y
_atom_site_fract_z
_atom_site_occupancy
Na1 0.003 0.259 0.134 1
Na2 0.307 0.626 0.475 1
Na3 0.394 0.999 0.213 1
Mg1 0.000 0.000 0.500 1
Co1 0.317 0.351 0.834 1
O1 0.003 0.831 0.217 1
O2 0.301 0.231 0.524 1
O3 0.379 0.693 0.869 1
```

Top 10 peaks for 15 to 90 degrees two-theta, by intensity:
- hkl 1 -2 1, 2θ = 38.7°, I = 100
- hkl 2 2 -1, 2θ = 45.5°, I = 86
- hkl 1 1 -2, 2θ = 32.5°, I = 71
- hkl 1 -1 0, 2θ = 21.1°, I = 65
- hkl -2 1 1, 2θ = 32.9°, I = 61
- hkl 1 0 -1, 2θ = 17.5°, I = 61
- hkl 0 0 3, 2θ = 47.8°, I = 52
- hkl -1 2 2, 2θ = 41.9°, I = 52
- hkl 1 1 1, 2θ = 32.6°, I = 43
- hkl 0 1 -1, 2θ = 20.9°, I = 41

=====

8.
For Na3MgCo5O10, DFT lattice parameters and positions (GGA+U) gives the calculated powder XRD pattern in this record (copper Kα).

Structure:
```
data_Na3MgCo5O10
_chemical_formula_sum 'Na3 Mg1 Co5 O10'
_space_group_name_H-M_alt 'P 1'
_space_group_IT_number 1
_space_group_name_Hall 'P 1'
_cell_length_a 5.121
_cell_length_b 5.647
_cell_length_c 7.992
_cell_angle_alpha 84.17
_cell_angle_beta 71.65
_cell_angle_gamma 71.81
loop_
_atom_site_label
_atom_site_fract_x
_atom_site_fract_y
_atom_site_fract_z
_atom_site_occupancy
Na1 0.000 0.000 0.000 1
Na2 0.191 0.007 0.633 1
Na3 0.398 0.007 0.193 1
Mg1 0.787 0.021 0.423 1
Co1 0.011 0.528 0.614 1
Co2 0.221 0.510 0.223 1
Co3 0.431 0.481 0.819 1
Co4 0.618 0.531 0.411 1
Co5 0.818 0.523 0.015 1
O1 0.012 0.299 0.416 1
O2 0.054 0.695 0.812 1
O3 0.198 0.738 0.408 1
O4 0.200 0.321 0.027 1
O5 0.429 0.693 0.022 1
O6 0.432 0.318 0.594 1
O7 0.627 0.298 0.229 1
O8 0.647 0.740 0.594 1
O9 0.811 0.736 0.228 1
O10 0.819 0.321 0.811 1
```

Top 10 peaks for 15 to 90 degrees two-theta, by intensity:
- hkl 0 1 0, 2θ = 16.5°, I = 100
- hkl 1 2 3, 2θ = 44.6°, I = 57
- hkl 2 -1 1, 2θ = 45.5°, I = 27
- hkl 1 1 -2, 2θ = 36.1°, I = 23
- hkl 1 1 3, 2θ = 36.2°, I = 21
- hkl 2 0 1, 2θ = 37.0°, I = 18
- hkl 0 2 0, 2θ = 33.4°, I = 18
- hkl 1 0 3, 2θ = 35.0°, I = 13
- hkl 2 1 1, 2θ = 35.4°, I = 13
- hkl 1 0 -2, 2θ = 34.7°, I = 13

=====

9.
For Na4MgCo2O6, DFT lattice parameters and positions (GGA+U) gives the calculated powder XRD pattern in this record (copper Kα).

Structure:
```
data_Na4MgCo2O6
_chemical_formula_sum 'Na8 Mg2 Co4 O12'
_space_group_name_H-M_alt 'C 1 m 1'
_space_group_IT_number 8
_space_group_name_Hall 'C -2y'
_cell_length_a 5.498
_cell_length_b 9.246
_cell_length_c 6.993
_cell_angle_alpha 90.00
_cell_angle_beta 113.03
_cell_angle_gamma 90.00
loop_
_atom_site_label
_atom_site_fract_x
_atom_site_fract_y
_atom_site_fract_z
_atom_site_occupancy
Na1 0.000 0.000 0.000 1
Na2 0.087 0.500 0.145 1
Na3 0.471 0.208 0.808 1
Mg1 0.001 0.000 0.545 1
Co1 0.323 0.194 0.319 1
O1 0.232 0.000 0.367 1
O2 0.235 0.333 0.487 1
O3 0.257 0.000 0.824 1
O4 0.373 0.289 0.111 1
```

Top 10 peaks for 15 to 90 degrees two-theta, by intensity:
- hkl 1 3 -1, 2θ = 34.1°, I = 100
- hkl 1 3 -2, 2θ = 39.6°, I = 87
- hkl 2 2 0, 2θ = 40.7°, I = 80
- hkl 1 1 2, 2θ = 39.9°, I = 74
- hkl 2 2 1, 2θ = 47.7°, I = 65
- hkl 0 2 2, 2θ = 33.9°, I = 64
- hkl 1 5 2, 2θ = 64.3°, I = 50
- hkl 0 2 0, 2θ = 19.2°, I = 49
- hkl 1 1 -2, 2θ = 28.1°, I = 48
- hkl 2 0 1, 2θ = 43.3°, I = 47

=====

10.
For NaMgCoO2, DFT lattice parameters and positions (GGA+U) gives the calculated powder XRD pattern in this record (copper Kα).

Structure:
```
data_NaMgCoO2
_chemical_formula_sum 'Na2 Mg2 Co2 O4'
_space_group_name_H-M_alt 'C 1 2 1'
_space_group_IT_number 5
_space_group_name_Hall 'C 2y'
_cell_length_a 5.824
_cell_length_b 5.501
_cell_length_c 5.727
_cell_angle_alpha 90.00
_cell_angle_beta 119.56
_cell_angle_gamma 90.00
loop_
_atom_site_label
_atom_site_fract_x
_atom_site_fract_y
_atom_site_fract_z
_atom_site_occupancy
Na1 0.000 0.000 0.000 1
Mg1 0.000 0.500 0.000 1
Co1 0.000 0.748 0.500 1
O1 0.183 0.750 0.863 1
```

Top 10 peaks for 15 to 90 degrees two-theta, by intensity:
- hkl 1 1 0, 2θ = 23.9°, I = 100
- hkl 1 1 -1, 2θ = 24.1°, I = 99
- hkl 2 2 -1, 2θ = 45.4°, I = 59
- hkl 0 0 2, 2θ = 36.0°, I = 56
- hkl 0 2 1, 2θ = 37.3°, I = 42
- hkl 2 0 0, 2θ = 35.4°, I = 30
- hkl 1 1 2, 2θ = 50.9°, I = 26
- hkl 0 2 3, 2θ = 65.7°, I = 16
- hkl 2 2 -3, 2θ = 59.6°, I = 15
- hkl 2 2 1, 2θ = 58.9°, I = 15

=====

11.
For Na6MgCo2O6, DFT lattice parameters and positions (GGA+U) gives the calculated powder XRD pattern in this record (copper Kα).

Structure:
```
data_Na6MgCo2O6
_chemical_formula_sum 'Na6 Mg1 Co2 O6'
_space_group_name_H-M_alt 'P 1'
_space_group_IT_number 1
_space_group_name_Hall 'P 1'
_cell_length_a 5.917
_cell_length_b 6.265
_cell_length_c 6.276
_cell_angle_alpha 118.25
_cell_angle_beta 91.13
_cell_angle_gamma 90.73
loop_
_atom_site_label
_atom_site_fract_x
_atom_site_fract_y
_atom_site_fract_z
_atom_site_occupancy
Na1 0.000 0.000 0.000 1
Na2 0.045 0.392 0.790 1
Na3 0.138 0.598 0.270 1
Na4 0.356 0.303 0.417 1
Na5 0.470 0.811 0.021 1
Na6 0.785 0.608 0.546 1
Mg1 0.815 0.976 0.401 1
Co1 0.336 0.970 0.673 1
Co2 0.626 0.311 0.038 1
O1 0.153 0.006 0.424 1
O2 0.205 0.676 0.681 1
O3 0.290 0.261 0.000 1
O4 0.685 0.012 0.708 1
O5 0.714 0.203 0.286 1
O6 0.770 0.630 0.131 1
```

Top 10 peaks for 15 to 90 degrees two-theta, by intensity:
- hkl 1 0 -1, 2θ = 21.7°, I = 100
- hkl 0 1 -1, 2θ = 16.5°, I = 98
- hkl 0 3 0, 2θ = 49.5°, I = 80
- hkl 1 1 1, 2θ = 32.1°, I = 77
- hkl 2 0 -1, 2θ = 34.0°, I = 58
- hkl 1 -2 1, 2θ = 32.2°, I = 49
- hkl 1 2 0, 2θ = 36.3°, I = 49
- hkl -1 1 2, 2θ = 45.3°, I = 48
- hkl 1 2 -2, 2θ = 36.6°, I = 45
- hkl 2 -1 2, 2θ = 42.4°, I = 45

=====

12.
For Na3MgCo5O10, DFT lattice parameters and positions (GGA+U) gives the calculated powder XRD pattern in this record (copper Kα).

Structure:
```
data_Na3MgCo5O10
_chemical_formula_sum 'Na3 Mg1 Co5 O10'
_space_group_name_H-M_alt 'P 1'
_space_group_IT_number 1
_space_group_name_Hall 'P 1'
_cell_length_a 5.162
_cell_length_b 6.003
_cell_length_c 7.782
_cell_angle_alpha 75.49
_cell_angle_beta 75.38
_cell_angle_gamma 65.01
loop_
_atom_site_label
_atom_site_fract_x
_atom_site_fract_y
_atom_site_fract_z
_atom_site_occupancy
Na1 0.000 0.000 0.000 1
Na2 0.149 0.015 0.536 1
Na3 0.718 0.022 0.352 1
Mg1 0.568 0.015 0.786 1
Co1 0.171 0.471 0.092 1
Co2 0.364 0.530 0.682 1
Co3 0.565 0.541 0.261 1
Co4 0.776 0.510 0.870 1
Co5 0.978 0.511 0.479 1
O1 0.157 0.694 0.250 1
O2 0.211 0.302 0.905 1
O3 0.355 0.295 0.543 1
O4 0.367 0.755 0.809 1
O5 0.566 0.692 0.443 1
O6 0.586 0.332 0.109 1
O7 0.755 0.732 0.016 1
O8 0.772 0.286 0.728 1
O9 0.925 0.735 0.648 1
O10 0.957 0.325 0.299 1
```

Top 10 peaks for 15 to 90 degrees two-theta, by intensity:
- hkl 0 1 0, 2θ = 16.5°, I = 100
- hkl 1 0 -2, 2θ = 33.4°, I = 45
- hkl 1 1 -2, 2θ = 35.9°, I = 42
- hkl 1 2 -2, 2θ = 45.2°, I = 27
- hkl 2 -1 1, 2θ = 49.2°, I = 22
- hkl 2 1 1, 2θ = 34.9°, I = 22
- hkl 2 0 1, 2θ = 38.9°, I = 18
- hkl 1 3 3, 2θ = 52.2°, I = 17
- hkl 1 2 3, 2θ = 41.2°, I = 16
- hkl 2 3 1, 2θ = 48.9°, I = 13